Starting from the PBE+U geometry in Alexandria, the powder X-ray diffraction pattern of LiSc2MoO6 was computed for a wavelength of 1.5418 Å.
Neutral-atom scattering factors, no anomalous dispersion.

Structural model:
Cell: 5.2716 5.3236 5.6984 Å, 62.30 89.64 60.55°
Space group P1 (No. 1)
Symmetry-distinct sites (fractional):
Li 0.0000 0.0000 0.0000
Sc 0.2795 0.4503 0.8157
Sc 0.7756 0.4665 0.3204
Mo 0.4804 0.0551 0.4199
O 0.0921 0.5303 0.1364
O 0.2205 0.9455 0.6077
O 0.3981 0.9518 0.1283
O 0.5748 0.2439 0.6161
O 0.6684 0.2547 0.1417
O 0.8679 0.5942 0.6086

Most intense lines, 2θ from 10° to 90°, in order of rising 2θ:
2theta, I (rel.)
18.37, 67
20.20, 100
20.37, 55
31.21, 37
31.54, 73
33.56, 30
33.68, 30
38.75, 31